Theoretical PXRD pattern
Compound: LiFeSiO4
Radiation: Cu Kα (λ = 1.5418 Å)
Structure: a crystal structure in the Materials Project, relaxed with PBE+U
Intensities are scaled so that the largest is 100.

Most intense lines, 2θ = 10–90°, by intensity:
2θ/deg	I/Imax
28.61	100.0
24.88	70.3
20.44	55.7
33.10	53.4
21.99	45.6
27.30	41.7
28.00	35.9
10.91	33.8

Structural model:
Cell lengths 8.032, 5.146, 8.414 Å; angles 90.00, 105.39, 90.00 degrees
Fractional positions:
Li 0.124 0.000 0.032
Li 0.352 0.375 0.555
Li 0.648 0.875 0.445
Li 0.876 0.500 0.968
Fe 0.029 0.964 0.677
Fe 0.459 0.296 0.241
Fe 0.541 0.796 0.759
Fe 0.971 0.464 0.323
Si 0.236 0.499 0.879
Si 0.253 0.916 0.415
Si 0.747 0.416 0.585
Si 0.764 0.999 0.121
O 0.077 0.712 0.862
O 0.111 0.081 0.487
O 0.151 0.209 0.841
O 0.198 0.610 0.384
O 0.280 0.052 0.247
O 0.346 0.577 0.746
O 0.367 0.510 0.064
O 0.441 0.966 0.552
O 0.559 0.466 0.448
O 0.633 0.010 0.936
O 0.654 0.077 0.254
O 0.720 0.552 0.753
O 0.802 0.110 0.616
O 0.849 0.709 0.159
O 0.889 0.581 0.513
O 0.923 0.212 0.138

=====

Theoretical PXRD pattern
Compound: Li2Fe2SiO6
Radiation: Cu Kα (λ = 1.5418 Å)
Structure: a crystal structure in the Materials Project, relaxed with PBE+U
Intensities are scaled so that the largest is 100.

Most intense lines, 2θ = 10–90°, by intensity:
2θ/deg	I/Imax
24.01	100.0
23.54	34.1
44.37	23.8
60.50	10.3
38.45	9.5
18.36	9.5
35.26	8.1
52.54	7.1

Structural model:
Cell lengths 5.525, 5.525, 6.066 Å; angles 90.00, 90.00, 122.04 degrees
Fractional positions:
Li 0.000 0.000 0.217
Li 0.000 0.000 0.783
Fe 0.000 0.500 0.830
Fe 0.500 0.000 0.170
Si 0.500 0.500 0.500
O 0.166 0.834 0.000
O 0.220 0.402 0.655
O 0.402 0.220 0.345
O 0.598 0.780 0.345
O 0.780 0.598 0.655
O 0.834 0.166 0.000

=====

Theoretical PXRD pattern
Compound: LiFeSiO4
Radiation: Cu Kα (λ = 1.5418 Å)
Structure: a crystal structure in the Materials Project, relaxed with PBE+U
Intensities are scaled so that the largest is 100.

Most intense lines, 2θ = 10–90°, by intensity:
2θ/deg	I/Imax
13.89	100.0
14.03	72.1
24.23	51.8
34.51	44.7
34.99	15.3
24.51	14.6
19.79	12.7
58.48	12.7

Structural model:
Cell lengths 8.973, 8.973, 8.973 Å; angles 90.57, 90.57, 90.57 degrees
Fractional positions:
Li 0.134 0.689 0.677
Li 0.177 0.189 0.634
Li 0.189 0.634 0.177
Li 0.634 0.177 0.189
Li 0.677 0.134 0.689
Li 0.689 0.677 0.134
Fe 0.160 0.912 0.399
Fe 0.399 0.160 0.912
Fe 0.412 0.660 0.899
Fe 0.660 0.899 0.412
Fe 0.899 0.412 0.660
Fe 0.912 0.399 0.160
Si 0.155 0.417 0.901
Si 0.401 0.917 0.655
Si 0.417 0.901 0.155
Si 0.655 0.401 0.917
Si 0.901 0.155 0.417
Si 0.917 0.655 0.401
O 0.003 0.561 0.267
O 0.023 0.049 0.336
O 0.049 0.336 0.023
O 0.049 0.753 0.487
O 0.061 0.503 0.767
O 0.253 0.549 0.987
O 0.254 0.286 0.819
O 0.267 0.003 0.561
O 0.286 0.819 0.254
O 0.319 0.786 0.754
O 0.336 0.023 0.049
O 0.487 0.049 0.753
O 0.503 0.767 0.061
O 0.523 0.836 0.549
O 0.549 0.523 0.836
O 0.549 0.987 0.253
O 0.561 0.267 0.003
O 0.753 0.487 0.049
O 0.754 0.319 0.786
O 0.767 0.061 0.503
O 0.786 0.754 0.319
O 0.819 0.254 0.286
O 0.836 0.549 0.523
O 0.987 0.253 0.549